Theoretical powder XRD pattern of ZrFe6Sn6 for CuKα, from a cell relaxed with PBE.
No peak broadening, texture or thermal motion is included.

```
13
Lattice="5.369 0.000 0.000 -2.685 4.650 0.000 0.000 0.000 8.925" Properties=species:S:1:pos:R:3 pbc="T T T"
Zr 0.000 0.000 0.000
Fe -1.342 2.325 2.205
Fe -1.342 2.325 6.720
Fe 2.685 0.000 2.205
Fe 2.685 0.000 6.720
Fe 1.342 2.325 2.205
Fe 1.342 2.325 6.720
Sn 0.000 0.000 2.962
Sn 0.000 0.000 5.963
Sn 0.000 3.100 0.000
Sn 0.000 3.100 4.462
Sn 2.685 1.550 0.000
Sn 2.685 1.550 4.462
```

Largest 10 diffraction maxima, by intensity, 10° ≤ 2θ ≤ 80°:
33.4°, rel. 100
39.2°, rel. 86
43.9°, rel. 74
35.8°, rel. 39
72.7°, rel. 39
70.1°, rel. 32
38.7°, rel. 27
40.4°, rel. 27
45.1°, rel. 26
63.5°, rel. 21

***

Theoretical powder XRD pattern of SrFe3 for CuKα, from a cell relaxed with PBE.
No peak broadening, texture or thermal motion is included.

```
4
Lattice="3.226 0.000 0.000 0.000 3.243 0.000 0.000 0.000 6.832" Properties=species:S:1:pos:R:3 pbc="T T T"
Sr 0.000 0.000 0.000
Fe 0.000 0.000 3.416
Fe 1.613 1.622 2.296
Fe 1.613 1.622 4.536
```

Largest 10 diffraction maxima, by intensity, 10° ≤ 2θ ≤ 80°:
39.4°, rel. 100
38.3°, rel. 64
38.4°, rel. 63
57.1°, rel. 36
61.4°, rel. 33
30.5°, rel. 23
30.6°, rel. 23
70.6°, rel. 19
70.8°, rel. 19
26.1°, rel. 18

***

Theoretical powder XRD pattern of Sr2Fe3 for CuKα, from a cell relaxed with PBE.
No peak broadening, texture or thermal motion is included.

```
10
Lattice="0.000 7.728 3.065 4.753 0.000 3.065 4.753 7.728 0.000" Properties=species:S:1:pos:R:3 pbc="T T T"
Sr 5.546 4.633 3.065
Sr 6.336 8.497 4.598
Sr 3.960 10.822 3.065
Sr 3.169 6.958 4.598
Fe 4.753 7.728 1.286
Fe 1.538 1.908 1.617
Fe 3.915 1.956 3.150
Fe 3.215 5.820 1.617
Fe 2.376 3.864 2.818
Fe 5.591 13.499 3.150
```

Largest 10 diffraction maxima, by intensity, 10° ≤ 2θ ≤ 80°:
36.8°, rel. 100
31.4°, rel. 81
36.4°, rel. 81
33.8°, rel. 68
29.8°, rel. 52
44.7°, rel. 51
32.3°, rel. 38
39.7°, rel. 36
56.5°, rel. 32
54.7°, rel. 29

***

Theoretical powder XRD pattern of SrFe3 for CuKα, from a cell relaxed with PBE.
No peak broadening, texture or thermal motion is included.

```
4
Lattice="3.044 0.000 0.000 0.000 4.031 0.000 0.000 0.000 6.268" Properties=species:S:1:pos:R:3 pbc="T T T"
Sr 0.000 0.000 0.000
Fe 0.000 2.016 3.735
Fe 1.522 0.000 3.291
Fe 1.522 2.016 1.948
```

Largest 10 diffraction maxima, by intensity, 10° ≤ 2θ ≤ 80°:
39.8°, rel. 100
32.7°, rel. 46
36.3°, rel. 45
26.3°, rel. 43
45.0°, rel. 31
58.2°, rel. 28
28.5°, rel. 26
47.4°, rel. 22
14.1°, rel. 18
56.7°, rel. 18

***

Theoretical powder XRD pattern of SrFe2W for CuKα, from a cell relaxed with PBE.
No peak broadening, texture or thermal motion is included.

```
8
Lattice="3.744 0.000 0.000 0.000 3.471 0.000 0.000 0.000 12.264" Properties=species:S:1:pos:R:3 pbc="T T T"
Sr 0.000 0.000 0.000
Sr 0.000 1.735 6.132
Fe 0.000 0.000 3.076
Fe 0.000 1.735 9.208
Fe 1.872 0.000 4.333
Fe 1.872 1.735 10.465
W 1.872 0.000 8.832
W 1.872 1.735 2.700
```

Largest 10 diffraction maxima, by intensity, 10° ≤ 2θ ≤ 80°:
36.0°, rel. 100
14.4°, rel. 92
27.9°, rel. 73
33.9°, rel. 69
41.8°, rel. 63
51.8°, rel. 59
29.1°, rel. 44
48.6°, rel. 26
60.6°, rel. 26
52.7°, rel. 20

***

Theoretical powder XRD pattern of Ta7Fe6 for CuKα, from a cell relaxed with PBE.
No peak broadening, texture or thermal motion is included.

```
13
Lattice="2.471 1.427 9.028 -2.471 1.427 9.028 0.000 -2.853 9.028" Properties=species:S:1:pos:R:3 pbc="T T T"
Ta 0.000 0.000 0.000
Ta 0.000 0.000 4.519
Ta 0.000 0.000 9.415
Ta 0.000 0.000 12.213
Ta 0.000 0.000 14.870
Ta 0.000 0.000 17.668
Ta 0.000 0.000 22.563
Fe 0.000 -1.393 6.921
Fe -1.206 0.696 6.921
Fe -1.206 -0.696 20.162
Fe 1.206 0.696 6.921
Fe 1.206 -0.696 20.162
Fe 0.000 1.393 20.162
```

Largest 10 diffraction maxima, by intensity, 10° ≤ 2θ ≤ 80°:
36.4°, rel. 100
41.7°, rel. 79
42.4°, rel. 61
39.4°, rel. 41
69.5°, rel. 24
77.2°, rel. 22
65.4°, rel. 19
19.7°, rel. 18
69.0°, rel. 18
45.6°, rel. 17

***

Theoretical powder XRD pattern of Ta4Fe for CuKα, from a cell relaxed with PBE.
No peak broadening, texture or thermal motion is included.

```
10
Lattice="7.210 0.000 0.000 0.000 7.210 0.000 0.000 0.000 3.220" Properties=species:S:1:pos:R:3 pbc="T T T"
Ta 0.670 5.120 0.000
Ta 1.515 2.935 1.610
Ta 2.091 0.670 0.000
Ta 2.935 5.696 1.610
Ta 4.275 1.515 1.610
Ta 5.120 6.540 0.000
Ta 5.696 4.275 1.610
Ta 6.540 2.091 0.000
Fe 0.000 0.000 1.610
Fe 3.605 3.605 0.000
```

Largest 10 diffraction maxima, by intensity, 10° ≤ 2θ ≤ 80°:
39.5°, rel. 100
71.7°, rel. 35
57.2°, rel. 16
30.4°, rel. 5
17.4°, rel. 3
35.2°, rel. 3
60.2°, rel. 3
24.7°, rel. 2
77.1°, rel. 2
54.0°, rel. 1

***

Theoretical powder XRD pattern of Ta3Fe2 for CuKα, from a cell relaxed with PBE.
No peak broadening, texture or thermal motion is included.

```
5
Lattice="4.222 0.000 0.000 -2.111 3.656 0.000 0.000 0.000 5.241" Properties=species:S:1:pos:R:3 pbc="T T T"
Ta 0.000 0.000 0.000
Ta 0.000 2.437 1.809
Ta 2.111 1.219 3.432
Fe 0.000 2.437 4.378
Fe 2.111 1.219 0.863
```

Largest 10 diffraction maxima, by intensity, 10° ≤ 2θ ≤ 80°:
29.8°, rel. 100
42.4°, rel. 93
42.8°, rel. 90
78.2°, rel. 31
61.9°, rel. 30
53.1°, rel. 21
70.5°, rel. 18
69.9°, rel. 18
78.5°, rel. 15
77.4°, rel. 15

***

Theoretical powder XRD pattern of Ta3Fe2 for CuKα, from a cell relaxed with PBE.
No peak broadening, texture or thermal motion is included.

```
10
Lattice="3.092 0.000 0.000 0.000 3.092 0.000 0.000 0.000 15.939" Properties=species:S:1:pos:R:3 pbc="T T T"
Ta 0.000 0.000 0.000
Ta 0.000 0.000 3.033
Ta 0.000 0.000 6.101
Ta 0.000 0.000 9.838
Ta 0.000 0.000 12.905
Ta 1.546 1.546 7.969
Fe 1.546 1.546 1.541
Fe 1.546 1.546 4.589
Fe 1.546 1.546 11.350
Fe 1.546 1.546 14.397
```

Largest 10 diffraction maxima, by intensity, 10° ≤ 2θ ≤ 80°:
40.6°, rel. 100
41.3°, rel. 54
74.8°, rel. 33
28.9°, rel. 18
59.8°, rel. 18
73.5°, rel. 12
36.8°, rel. 8
28.0°, rel. 8
50.6°, rel. 6
57.9°, rel. 6

***

Theoretical powder XRD pattern of Ta2Fe for CuKα, from a cell relaxed with PBE.
No peak broadening, texture or thermal motion is included.

```
12
Lattice="3.153 0.000 0.000 0.000 13.332 0.000 0.000 0.000 4.499" Properties=species:S:1:pos:R:3 pbc="T T T"
Ta 0.000 1.016 1.125
Ta 0.000 3.240 3.374
Ta 0.000 10.092 1.125
Ta 0.000 12.317 3.374
Ta 1.576 3.426 1.125
Ta 1.576 5.650 3.374
Ta 1.576 7.682 1.125
Ta 1.576 9.906 3.374
Fe 0.000 5.564 1.125
Fe 0.000 7.769 3.374
Fe 1.576 1.103 3.374
Fe 1.576 12.230 1.125
```

Largest 10 diffraction maxima, by intensity, 10° ≤ 2θ ≤ 80°:
40.4°, rel. 100
40.1°, rel. 26
40.6°, rel. 24
73.7°, rel. 23
73.0°, rel. 17
58.4°, rel. 16
33.5°, rel. 11
29.1°, rel. 9
73.3°, rel. 9
58.6°, rel. 9

***

Theoretical powder XRD pattern of Ta4Fe3 for CuKα, from a cell relaxed with PBE.
No peak broadening, texture or thermal motion is included.

```
7
Lattice="4.894 0.000 0.000 -2.447 4.238 0.000 0.000 0.000 5.077" Properties=species:S:1:pos:R:3 pbc="T T T"
Ta 0.000 0.000 1.270
Ta 0.000 0.000 3.807
Ta 0.000 2.826 0.000
Ta 2.447 1.413 0.000
Fe -1.223 2.119 2.539
Fe 2.447 0.000 2.539
Fe 1.223 2.119 2.539
```

Largest 10 diffraction maxima, by intensity, 10° ≤ 2θ ≤ 80°:
41.5°, rel. 100
36.7°, rel. 85
40.9°, rel. 51
69.4°, rel. 44
46.4°, rel. 25
78.1°, rel. 17
42.7°, rel. 16
66.1°, rel. 16
56.6°, rel. 16
17.5°, rel. 12

***

Theoretical powder XRD pattern of TbTaFe4 for CuKα, from a cell relaxed with PBE.
No peak broadening, texture or thermal motion is included.

```
12
Lattice="4.960 0.000 0.000 -2.480 4.296 0.000 0.000 0.000 8.212" Properties=species:S:1:pos:R:3 pbc="T T T"
Tb 0.000 2.864 0.556
Tb 2.480 1.432 7.657
Ta 0.000 2.864 3.655
Ta 2.480 1.432 4.557
Fe 0.000 0.000 0.000
Fe 0.000 0.000 4.106
Fe 0.000 1.442 6.019
Fe -1.231 3.574 6.019
Fe 1.249 0.721 2.194
Fe 1.231 3.574 6.019
Fe 3.711 0.721 2.194
Fe 2.480 2.853 2.194
```

Largest 10 diffraction maxima, by intensity, 10° ≤ 2θ ≤ 80°:
42.6°, rel. 100
39.0°, rel. 99
36.2°, rel. 69
43.6°, rel. 50
67.0°, rel. 39
72.4°, rel. 29
69.5°, rel. 23
76.9°, rel. 21
30.1°, rel. 16
42.1°, rel. 16